Na2CoH6: theoretical XRD peak list (Cu Ka), based on a structure optimized by DFT (GGA-PBE).
Neutral-atom scattering factors, no anomalous dispersion.

Atomic structure:
a = 5.6136 Å, b = 5.6136 Å, c = 5.6136 Å
α = 144.42°, β = 125.96°, γ = 66.38°
Positions (direct):
Na 0.1661 0.1661 0.0000
Na 0.8339 0.8339 0.0000
Co 0.5000 0.5000 0.0000
H 0.1674 0.3820 0.7853
H 0.4033 0.6180 0.7853
H 0.4101 0.0000 0.4101
H 0.5899 0.0000 0.5899
H 0.5967 0.3820 0.2147
H 0.8326 0.6180 0.2147

Principal peaks in the range 2θ = 15–90°, low angle first:
d [Å], I (rel.)
4.482, 48
2.846, 100
2.669, 88
2.550, 35
2.313, 50
1.714, 54